Th2H2Cl: theoretical powder X-ray diffraction pattern (Cu Kα (λ = 1.5418 Å)), based on a crystal structure in Alexandria, relaxed with GGA-PBE.
Peak positions follow from Bragg's law for the DFT cell and can differ from measured ones.

The 12 most intense peaks (2θ from 10° to 90°), in order of rising 2θ:
- 5.129 Å, 17.3°, I 100
- 3.234 Å, 27.6°, I 98
- 2.946 Å, 30.3°, I 54
- 2.565 Å, 35.0°, I 89
- 2.555 Å, 35.1°, I 20
- 2.178 Å, 41.5°, I 36
- 2.083 Å, 43.4°, I 28
- 1.930 Å, 47.1°, I 15
- 1.875 Å, 48.6°, I 18
- 1.616 Å, 57.0°, I 59
- 1.424 Å, 65.5°, I 14
- 1.277 Å, 74.3°, I 14

Atomic structure:
```
10
Lattice="-4.1662 4.1662 3.2545 4.1662 -4.1662 3.2545 4.1662 4.1662 -3.2545" Properties=species:S:1:pos:R:3 pbc="T T T"
Th 0.0000 1.9898 0.0000
Th -1.9898 4.1662 1.6273
Th 1.9898 4.1662 1.6273
Th 0.0000 6.3426 0.0000
H 1.2228 0.0000 0.3790
H 7.1096 0.0000 0.3790
H 0.0000 2.9434 2.0063
H 0.0000 5.3890 2.0063
Cl 4.1662 0.0000 1.4012
Cl 0.0000 0.0000 3.0285
```

Na3PtI6: theoretical powder X-ray diffraction pattern (Cu Kα (λ = 1.5418 Å)), based on a crystal structure in Alexandria, relaxed with GGA-PBE.
Peak positions follow from Bragg's law for the DFT cell and can differ from measured ones.

The 12 most intense peaks (2θ from 10° to 90°), in order of rising 2θ:
- 6.711 Å, 13.2°, I 55
- 6.602 Å, 13.4°, I 73
- 6.075 Å, 14.6°, I 30
- 5.503 Å, 16.1°, I 71
- 3.637 Å, 24.5°, I 100
- 3.429 Å, 26.0°, I 48
- 3.335 Å, 26.7°, I 75
- 3.206 Å, 27.8°, I 40
- 2.674 Å, 33.5°, I 33
- 2.514 Å, 35.7°, I 37
- 2.416 Å, 37.2°, I 39
- 2.153 Å, 42.0°, I 45

Atomic structure:
```
20
Lattice="7.6342 0.0000 0.0000 0.0000 7.9920 0.0000 -6.3527 0.0000 11.7139" Properties=species:S:1:pos:R:3 pbc="T T T"
Na 0.0000 0.0000 0.0000
Na -3.1763 3.9960 5.8569
Na -2.6523 0.8689 8.9370
Na 0.5240 3.1271 3.0800
Na 0.7575 4.8649 8.6338
Na 3.9339 7.1231 2.7769
Pt 0.6408 0.0000 5.8569
Pt 3.8171 3.9960 0.0000
I -0.6786 0.1766 3.1183
I -3.8550 3.8194 8.9752
I 1.7139 5.3578 0.9855
I -1.4624 6.6302 6.8424
I 2.6592 1.6750 0.7067
I -0.5171 2.3210 6.5637
I 1.7987 5.6711 5.1502
I -1.3777 6.3170 11.0071
I 2.7439 1.3618 4.8715
I -0.4324 2.6342 10.7284
I 5.1365 4.1726 2.7387
I 1.9602 7.8154 8.5956
```

Ti4VSi3: theoretical powder X-ray diffraction pattern (Cu Kα (λ = 1.5418 Å)), based on a crystal structure in Alexandria, relaxed with GGA-PBE.
Peak positions follow from Bragg's law for the DFT cell and can differ from measured ones.

The 12 most intense peaks (2θ from 10° to 90°), in order of rising 2θ:
- 2.452 Å, 36.6°, I 27
- 2.381 Å, 37.8°, I 68
- 2.314 Å, 38.9°, I 11
- 2.195 Å, 41.1°, I 100
- 2.143 Å, 42.2°, I 86
- 2.003 Å, 45.3°, I 41
- 1.710 Å, 53.6°, I 11
- 1.402 Å, 66.7°, I 18
- 1.389 Å, 67.4°, I 18
- 1.361 Å, 69.0°, I 10
- 1.348 Å, 69.8°, I 17
- 1.191 Å, 80.7°, I 19

Atomic structure:
```
16
Lattice="-4.9116 4.9116 2.4509 4.9116 -4.9116 2.4509 4.9116 4.9116 -2.4509" Properties=species:S:1:pos:R:3 pbc="T T T"
Ti 7.6598 0.7897 0.0000
Ti 0.7897 2.1634 0.0000
Ti 5.7013 2.7482 0.0000
Ti 2.7482 4.1219 0.0000
Ti 2.1634 0.7897 2.4509
Ti -0.7897 2.1634 2.4509
Ti 4.1219 2.7482 2.4509
Ti -2.7482 4.1219 2.4509
V 4.9116 0.0000 1.2255
V 0.0000 4.9116 1.2255
Si 3.3716 1.5399 0.0000
Si 0.0000 0.0000 1.2255
Si 3.3716 -1.5399 2.4509
Si 1.5399 6.4515 0.0000
Si 0.0000 0.0000 3.6764
Si 1.5399 3.3716 2.4509
```